Entry 1:
Simulated XRD peak list of EuMgVO3 for λ = 1.5418 Å (Cu Kα), from DFT lattice parameters and positions (PBE+U).
Neutral-atom scattering factors, no anomalous dispersion.

Largest 10 diffraction maxima, by angle, 10 to 90 degrees two-theta:
two_theta	I (rel.)
12.5	100.0
21.9	20.3
25.1	31.5
26.3	26.4
31.9	21.8
34.6	23.3
34.7	22.0
36.3	24.8
37.5	22.2
38.1	22.3

Crystal structure
```
data_EuMgVO3
_chemical_formula_sum 'Eu1 Mg1 V1 O3'
_space_group_name_H-M_alt 'P 1'
_space_group_IT_number 1
_space_group_name_Hall 'P 1'
_cell_length_a 3.360
_cell_length_b 4.080
_cell_length_c 7.124
_cell_angle_alpha 95.59
_cell_angle_beta 91.83
_cell_angle_gamma 90.10
loop_
_atom_site_label
_atom_site_fract_x
_atom_site_fract_y
_atom_site_fract_z
_atom_site_occupancy
Eu1 0.000 0.000 0.000 1
Mg1 0.034 0.103 0.490 1
V1 0.519 0.569 0.295 1
O1 0.029 0.597 0.450 1
O2 0.494 0.539 0.019 1
O3 0.521 0.074 0.311 1
```

Entry 2:
Simulated XRD peak list of Eu2MgVO4 for λ = 1.5418 Å (Cu Kα), from DFT lattice parameters and positions (PBE+U).
Neutral-atom scattering factors, no anomalous dispersion.

Largest 10 diffraction maxima, by angle, 10 to 90 degrees two-theta:
two_theta	I (rel.)
13.0	20.7
22.7	89.7
29.4	50.9
30.9	78.6
39.8	100.0
41.0	57.2
44.3	52.2
50.4	23.1
54.1	19.0
61.0	54.8

Crystal structure
```
data_Eu2MgVO4
_chemical_formula_sum 'Eu4 Mg2 V2 O8'
_space_group_name_H-M_alt 'P 1'
_space_group_IT_number 1
_space_group_name_Hall 'P 1'
_cell_length_a 4.087
_cell_length_b 4.087
_cell_length_c 13.621
_cell_angle_alpha 90.00
_cell_angle_beta 90.00
_cell_angle_gamma 90.00
loop_
_atom_site_label
_atom_site_fract_x
_atom_site_fract_y
_atom_site_fract_z
_atom_site_occupancy
Eu1 0.000 0.000 0.112 1
Eu2 0.000 0.000 0.888 1
Eu3 0.500 0.500 0.388 1
Eu4 0.500 0.500 0.612 1
Mg1 0.000 0.500 0.250 1
Mg2 0.500 0.000 0.750 1
V1 0.000 0.000 0.500 1
V2 0.500 0.500 0.000 1
O1 0.000 0.000 0.308 1
O2 0.000 0.000 0.692 1
O3 0.000 0.500 0.010 1
O4 0.000 0.500 0.490 1
O5 0.500 0.000 0.510 1
O6 0.500 0.000 0.990 1
O7 0.500 0.500 0.192 1
O8 0.500 0.500 0.808 1
```

Entry 3:
Simulated XRD peak list of Eu2MgV2O8 for λ = 1.5418 Å (Cu Kα), from DFT lattice parameters and positions (PBE+U).
Neutral-atom scattering factors, no anomalous dispersion.

Largest 10 diffraction maxima, by angle, 10 to 90 degrees two-theta:
two_theta	I (rel.)
17.7	18.8
18.0	18.4
23.2	100.0
31.5	23.3
32.1	56.5
32.4	17.7
37.5	19.0
46.7	31.9
47.2	15.8
47.4	17.4

Crystal structure
```
data_Eu2MgV2O8
_chemical_formula_sum 'Eu2 Mg1 V2 O8'
_space_group_name_H-M_alt 'P 1'
_space_group_IT_number 1
_space_group_name_Hall 'P 1'
_cell_length_a 6.254
_cell_length_b 6.254
_cell_length_c 6.360
_cell_angle_alpha 104.94
_cell_angle_beta 104.94
_cell_angle_gamma 117.00
loop_
_atom_site_label
_atom_site_fract_x
_atom_site_fract_y
_atom_site_fract_z
_atom_site_occupancy
Eu1 0.000 0.000 0.000 1
Eu2 0.779 0.221 0.500 1
Mg1 0.290 0.710 0.000 1
V1 0.278 0.722 0.500 1
V2 0.548 0.452 0.000 1
O1 0.118 0.383 0.337 1
O2 0.134 0.747 0.705 1
O3 0.196 0.336 0.843 1
O4 0.253 0.866 0.295 1
O5 0.528 0.260 0.161 1
O6 0.617 0.882 0.663 1
O7 0.664 0.804 0.157 1
O8 0.740 0.472 0.839 1
```

Entry 4:
Simulated XRD peak list of Eu2MgVO4 for λ = 1.5418 Å (Cu Kα), from DFT lattice parameters and positions (PBE+U).
Neutral-atom scattering factors, no anomalous dispersion.

Largest 10 diffraction maxima, by angle, 10 to 90 degrees two-theta:
two_theta	I (rel.)
26.6	100.0
27.7	34.4
32.2	58.1
32.5	38.6
33.5	28.6
43.0	26.7
46.1	28.2
50.0	21.6
54.0	28.9
57.5	25.7

Crystal structure
```
data_Eu2MgVO4
_chemical_formula_sum 'Eu4 Mg2 V2 O8'
_space_group_name_H-M_alt 'P 1'
_space_group_IT_number 1
_space_group_name_Hall 'P 1'
_cell_length_a 3.934
_cell_length_b 3.934
_cell_length_c 19.301
_cell_angle_alpha 90.00
_cell_angle_beta 90.00
_cell_angle_gamma 90.00
loop_
_atom_site_label
_atom_site_fract_x
_atom_site_fract_y
_atom_site_fract_z
_atom_site_occupancy
Eu1 0.000 0.000 0.187 1
Eu2 0.000 0.000 0.813 1
Eu3 0.500 0.500 0.313 1
Eu4 0.500 0.500 0.687 1
Mg1 0.000 0.000 0.000 1
Mg2 0.500 0.500 0.500 1
V1 0.000 0.000 0.500 1
V2 0.500 0.500 0.000 1
O1 0.000 0.000 0.303 1
O2 0.000 0.000 0.697 1
O3 0.000 0.500 0.000 1
O4 0.000 0.500 0.500 1
O5 0.500 0.000 0.000 1
O6 0.500 0.000 0.500 1
O7 0.500 0.500 0.197 1
O8 0.500 0.500 0.803 1
```

Entry 5:
Simulated XRD peak list of Eu2MgWO6 for λ = 1.5418 Å (Cu Kα), from DFT lattice parameters and positions (PBE+U).
Neutral-atom scattering factors, no anomalous dispersion.

Largest 10 diffraction maxima, by angle, 10 to 90 degrees two-theta:
two_theta	I (rel.)
19.2	24.5
31.6	100.0
37.2	13.4
39.0	6.3
45.3	29.5
49.6	5.7
56.3	40.0
66.0	18.2
75.0	17.6
83.7	6.2

Crystal structure
```
data_Eu2MgWO6
_chemical_formula_sum 'Eu2 Mg1 W1 O6'
_space_group_name_H-M_alt 'P 1'
_space_group_IT_number 1
_space_group_name_Hall 'P 1'
_cell_length_a 5.662
_cell_length_b 5.662
_cell_length_c 5.662
_cell_angle_alpha 60.00
_cell_angle_beta 60.00
_cell_angle_gamma 60.00
loop_
_atom_site_label
_atom_site_fract_x
_atom_site_fract_y
_atom_site_fract_z
_atom_site_occupancy
Eu1 0.250 0.250 0.250 1
Eu2 0.750 0.750 0.750 1
Mg1 0.000 0.000 0.000 1
W1 0.500 0.500 0.500 1
O1 0.256 0.256 0.744 1
O2 0.256 0.744 0.256 1
O3 0.256 0.744 0.744 1
O4 0.744 0.256 0.256 1
O5 0.744 0.256 0.744 1
O6 0.744 0.744 0.256 1
```

Entry 6:
Simulated XRD peak list of Na2EuMnO6 for λ = 1.5418 Å (Cu Kα), from DFT lattice parameters and positions (PBE+U).
Neutral-atom scattering factors, no anomalous dispersion.

Largest 10 diffraction maxima, by angle, 10 to 90 degrees two-theta:
two_theta	I (rel.)
18.6	26.7
21.5	91.2
30.7	100.0
36.1	25.6
43.9	43.0
49.4	35.3
54.5	38.1
63.8	24.3
72.5	17.7
88.8	20.5

Crystal structure
```
data_Na2EuMnO6
_chemical_formula_sum 'Na2 Eu1 Mn1 O6'
_space_group_name_H-M_alt 'P 1'
_space_group_IT_number 1
_space_group_name_Hall 'P 1'
_cell_length_a 5.832
_cell_length_b 5.832
_cell_length_c 5.832
_cell_angle_alpha 60.00
_cell_angle_beta 60.00
_cell_angle_gamma 60.00
loop_
_atom_site_label
_atom_site_fract_x
_atom_site_fract_y
_atom_site_fract_z
_atom_site_occupancy
Na1 0.250 0.250 0.250 1
Na2 0.750 0.750 0.750 1
Eu1 0.000 0.000 0.000 1
Mn1 0.500 0.500 0.500 1
O1 0.271 0.271 0.729 1
O2 0.271 0.729 0.271 1
O3 0.271 0.729 0.729 1
O4 0.729 0.271 0.271 1
O5 0.729 0.271 0.729 1
O6 0.729 0.729 0.271 1
```

Entry 7:
Simulated XRD peak list of Na2EuMnO6 for λ = 1.5418 Å (Cu Kα), from DFT lattice parameters and positions (PBE+U).
Neutral-atom scattering factors, no anomalous dispersion.

Largest 10 diffraction maxima, by angle, 10 to 90 degrees two-theta:
two_theta	I (rel.)
17.2	24.1
19.9	80.5
28.2	100.0
33.2	27.1
40.3	36.4
45.3	33.9
50.0	49.0
58.4	19.4
66.1	19.4
80.3	23.1

Crystal structure
```
data_Na2EuMnO6
_chemical_formula_sum 'Na8 Eu4 Mn4 O24'
_space_group_name_H-M_alt 'P 1'
_space_group_IT_number 1
_space_group_name_Hall 'P 1'
_cell_length_a 8.943
_cell_length_b 8.943
_cell_length_c 8.943
_cell_angle_alpha 90.00
_cell_angle_beta 90.00
_cell_angle_gamma 90.00
loop_
_atom_site_label
_atom_site_fract_x
_atom_site_fract_y
_atom_site_fract_z
_atom_site_occupancy
Na1 0.250 0.250 0.250 1
Na2 0.250 0.250 0.750 1
Na3 0.250 0.750 0.250 1
Na4 0.250 0.750 0.750 1
Na5 0.750 0.250 0.250 1
Na6 0.750 0.250 0.750 1
Na7 0.750 0.750 0.250 1
Na8 0.750 0.750 0.750 1
Eu1 0.000 0.000 0.000 1
Eu2 0.000 0.500 0.500 1
Eu3 0.500 0.000 0.500 1
Eu4 0.500 0.500 0.000 1
Mn1 0.000 0.000 0.500 1
Mn2 0.000 0.500 0.000 1
Mn3 0.500 0.000 0.000 1
Mn4 0.500 0.500 0.500 1
O1 0.037 0.546 0.776 1
O2 0.037 0.954 0.724 1
O3 0.046 0.224 0.537 1
O4 0.046 0.276 0.963 1
O5 0.224 0.537 0.046 1
O6 0.224 0.963 0.454 1
O7 0.276 0.537 0.454 1
O8 0.276 0.963 0.046 1
O9 0.454 0.224 0.963 1
O10 0.454 0.276 0.537 1
O11 0.463 0.546 0.724 1
O12 0.463 0.954 0.776 1
O13 0.537 0.046 0.224 1
O14 0.537 0.454 0.276 1
O15 0.546 0.724 0.463 1
O16 0.546 0.776 0.037 1
O17 0.724 0.037 0.954 1
O18 0.724 0.463 0.546 1
O19 0.776 0.037 0.546 1
O20 0.776 0.463 0.954 1
O21 0.954 0.724 0.037 1
O22 0.954 0.776 0.463 1
O23 0.963 0.046 0.276 1
O24 0.963 0.454 0.224 1
```

Entry 8:
Simulated XRD peak list of NaSrEuMnO6 for λ = 1.5418 Å (Cu Kα), from DFT lattice parameters and positions (PBE+U).
Neutral-atom scattering factors, no anomalous dispersion.

Largest 10 diffraction maxima, by angle, 10 to 90 degrees two-theta:
two_theta	I (rel.)
19.2	16.0
22.2	20.9
31.6	100.0
39.0	29.5
45.3	36.6
51.0	11.4
56.3	38.3
66.0	21.3
75.0	17.2
79.4	9.3

Crystal structure
```
data_NaSrEuMnO6
_chemical_formula_sum 'Na1 Sr1 Eu1 Mn1 O6'
_space_group_name_H-M_alt 'P 1'
_space_group_IT_number 1
_space_group_name_Hall 'P 1'
_cell_length_a 5.664
_cell_length_b 5.664
_cell_length_c 5.664
_cell_angle_alpha 60.00
_cell_angle_beta 60.00
_cell_angle_gamma 60.00
loop_
_atom_site_label
_atom_site_fract_x
_atom_site_fract_y
_atom_site_fract_z
_atom_site_occupancy
Na1 0.000 0.000 0.000 1
Sr1 0.250 0.250 0.250 1
Eu1 0.750 0.750 0.750 1
Mn1 0.500 0.500 0.500 1
O1 0.266 0.266 0.734 1
O2 0.266 0.734 0.266 1
O3 0.266 0.734 0.734 1
O4 0.734 0.266 0.266 1
O5 0.734 0.266 0.734 1
O6 0.734 0.734 0.266 1
```